The following is a theoretical powder X-ray diffraction pattern of CuAsAu2. It was derived from a cell relaxed with GGA-PBE, using a wavelength of 1.5418 Å.
Lines closer than 0.1° are merged.

Crystal structure
```
CuAsAu2
1.0
2.8101 0.0000 0.0000
0.0000 3.8964 0.0000
-0.0138 0.0000 6.4650
Cu As Au
1 1 2
direct
0.0000 0.0000 0.0000
0.9917 0.5000 0.2522
0.4980 0.5000 0.8051
0.9961 0.0000 0.5427
```

The 6 most intense peaks (10 to 90 degrees two-theta), by angle:
13.70 deg, I = 50
34.81 deg, I = 33
36.10 deg, I = 100
39.54 deg, I = 43
41.99 deg, I = 34
42.63 deg, I = 35

---

The following is a theoretical powder X-ray diffraction pattern of Hf2VB2. It was derived from a cell relaxed with GGA-PBE, using a wavelength of 1.5418 Å.
Lines closer than 0.1° are merged.

Crystal structure
```
Hf2VB2
1.0
6.2189 0.0000 0.0000
0.0000 6.2189 0.0000
0.0000 0.0000 3.4087
Hf V B
4 2 4
direct
0.1826 0.3174 0.0000
0.3174 0.8174 0.0000
0.6826 0.1826 0.0000
0.8174 0.6826 0.0000
0.0000 0.0000 0.5000
0.5000 0.5000 0.5000
0.1037 0.6037 0.5000
0.3963 0.1037 0.5000
0.6037 0.8963 0.5000
0.8963 0.3963 0.5000
```

The 6 most intense peaks (10 to 90 degrees two-theta), by angle:
26.14 deg, I = 56
28.71 deg, I = 35
32.19 deg, I = 88
39.22 deg, I = 80
41.92 deg, I = 100
67.96 deg, I = 39

---

The following is a theoretical powder X-ray diffraction pattern of Ho5MgRu4. It was derived from a cell relaxed with GGA-PBE, using a wavelength of 1.5418 Å.
Lines closer than 0.1° are merged.

Crystal structure
```
Ho5MgRu4
1.0
3.3955 0.0000 0.0000
0.0000 3.3955 0.0000
0.0000 0.0000 18.3457
Ho Mg Ru
5 1 4
direct
0.0000 0.0000 0.0000
0.0000 0.0000 0.1832
0.0000 0.0000 0.3659
0.0000 0.0000 0.6341
0.0000 0.0000 0.8168
0.5000 0.5000 0.5000
0.5000 0.5000 0.0928
0.5000 0.5000 0.2815
0.5000 0.5000 0.7185
0.5000 0.5000 0.9072
```

The 6 most intense peaks (10 to 90 degrees two-theta), by angle:
36.04 deg, I = 100
37.46 deg, I = 71
39.67 deg, I = 47
54.01 deg, I = 24
66.66 deg, I = 33
68.50 deg, I = 20

---

The following is a theoretical powder X-ray diffraction pattern of CaPm2Nd6Sm. It was derived from a cell relaxed with GGA-PBE, using a wavelength of 1.5418 Å.
Lines closer than 0.1° are merged.

Crystal structure
```
CaPm2Nd6Sm
1.0
4.6320 -7.8267 0.0000
4.6320 7.8267 0.0000
-1.5186 0.0000 9.8840
Ca Pm Nd Sm
2 4 12 2
direct
0.0977 0.9023 0.7500
0.9023 0.0977 0.2500
0.1998 0.2998 0.9574
0.2998 0.1998 0.4574
0.7002 0.8002 0.5426
0.8002 0.7002 0.0426
0.0005 0.7866 0.3775
0.0735 0.5287 0.1776
0.2134 0.9995 0.1225
0.2612 0.6179 0.5522
0.3821 0.7388 0.9478
0.4713 0.9265 0.3224
0.5287 0.0735 0.6776
0.6179 0.2612 0.0522
0.7388 0.3821 0.4478
0.7866 0.0005 0.8775
0.9265 0.4713 0.8224
0.9995 0.2134 0.6225
0.4767 0.5233 0.2500
0.5233 0.4767 0.7500
```

The 6 most intense peaks (10 to 90 degrees two-theta), by angle:
27.68 deg, I = 72
29.41 deg, I = 57
29.85 deg, I = 99
30.17 deg, I = 57
30.77 deg, I = 100
32.37 deg, I = 62